[1]
# Cr2Pd9Au
Computed powder diffraction line list, a wavelength of 1.5418 Å. Input: a cell relaxed with GGA-PBE.

Principal peaks in the range 2θ = 5–70°, low angle first:
d 11.857, intensity 8; d 2.274, intensity 100; d 1.976, intensity 16; d 1.966, intensity 32; d 1.394, intensity 20; d 1.390, intensity 10

Cell and atoms:
```
data_Cr2Pd9Au
_chemical_formula_sum 'Cr2 Pd9 Au1'
_space_group_name_H-M_alt 'P 4/m m m'
_space_group_IT_number 123
_space_group_name_Hall '-P 4 2'
_cell_length_a 3.9315
_cell_length_b 3.9315
_cell_length_c 11.8567
_cell_angle_alpha 90.00
_cell_angle_beta 90.00
_cell_angle_gamma 90.00
loop_
_atom_site_label
_atom_site_type_symbol
_atom_site_fract_x
_atom_site_fract_y
_atom_site_fract_z
Cr1 Cr 0.0000 0.0000 0.1650
Pd1 Pd 0.0000 0.5000 0.0000
Pd2 Pd 0.0000 0.5000 0.3244
Pd3 Pd 0.5000 0.5000 0.1620
Pd4 Pd 0.5000 0.5000 0.5000
Au1 Au 0.0000 0.0000 0.5000
```

***

[2]
# CrPd4Au
Computed powder diffraction line list, a wavelength of 1.5418 Å. Input: a cell relaxed with GGA-PBE.

Principal peaks in the range 2θ = 5–70°, low angle first:
d 2.292, intensity 100; d 1.999, intensity 16; d 1.986, intensity 16; d 1.970, intensity 15; d 1.403, intensity 10; d 1.398, intensity 10

Cell and atoms:
```
data_CrPd4Au
_chemical_formula_sum 'Cr1 Pd4 Au1'
_space_group_name_H-M_alt 'P -1'
_space_group_IT_number 2
_cell_length_a 4.8446
_cell_length_b 4.8452
_cell_length_c 4.8563
_cell_angle_alpha 60.38
_cell_angle_beta 80.63
_cell_angle_gamma 71.21
loop_
_space_group_symop_operation_xyz
'x,y,z'
'-x,-y,-z'
loop_
_atom_site_label
_atom_site_type_symbol
_atom_site_fract_x
_atom_site_fract_y
_atom_site_fract_z
Cr1 Cr 0.0000 0.0000 0.0000
Pd1 Pd 0.9997 0.3321 0.3353
Pd2 Pd 0.4993 0.1647 0.6705
Au1 Au 0.5000 0.5000 0.0000
```

***

[3]
# Cr2Pd7Au2
Computed powder diffraction line list, a wavelength of 1.5418 Å. Input: a cell relaxed with GGA-PBE.

Principal peaks in the range 2θ = 5–70°, low angle first:
d 2.574, intensity 74; d 2.383, intensity 100; d 2.336, intensity 97; d 2.228, intensity 55; d 2.112, intensity 43; d 2.046, intensity 70

Cell and atoms:
```
data_Cr2Pd7Au2
_chemical_formula_sum 'Cr4 Pd14 Au4'
_space_group_name_H-M_alt 'C 1 2/m 1'
_space_group_IT_number 12
_cell_length_a 5.4610
_cell_length_b 9.5306
_cell_length_c 7.0633
_cell_angle_alpha 90.00
_cell_angle_beta 101.49
_cell_angle_gamma 90.00
loop_
_space_group_symop_operation_xyz
'x,y,z'
'-x,-y,-z'
'-x,y,-z'
'x,-y,z'
'x+1/2,y+1/2,z'
'-x+1/2,-y+1/2,-z'
'-x+1/2,y+1/2,-z'
'x+1/2,-y+1/2,z'
loop_
_atom_site_label
_atom_site_type_symbol
_atom_site_fract_x
_atom_site_fract_y
_atom_site_fract_z
Cr1 Cr 0.0000 0.2215 0.0000
Pd1 Pd 0.0000 0.5000 0.5000
Pd2 Pd 0.1843 0.5000 0.9078
Pd3 Pd 0.2032 0.2663 0.6804
Au1 Au 0.0664 0.0000 0.7036
```

***

[4]
# RbCrAu2
Computed powder diffraction line list, a wavelength of 1.5418 Å. Input: a cell relaxed with GGA-PBE.

Principal peaks in the range 2θ = 5–70°, low angle first:
d 5.230, intensity 100; d 4.071, intensity 89; d 2.615, intensity 94; d 2.419, intensity 47; d 2.034, intensity 64; d 1.778, intensity 55

Cell and atoms:
```
data_RbCrAu2
_chemical_formula_sum 'Rb4 Cr4 Au8'
_space_group_name_H-M_alt 'I 41/a m d'
_space_group_IT_number 141
_cell_length_a 5.4570
_cell_length_b 5.4570
_cell_length_c 18.3357
_cell_angle_alpha 90.00
_cell_angle_beta 90.00
_cell_angle_gamma 90.00
loop_
_space_group_symop_operation_xyz
'x,y,z'
'-x,-y,-z'
'-y+1/4,x+3/4,z+1/4'
'y+1/4,-x+3/4,-z+1/4'
'-x+1/2,-y,z+1/2'
'x+1/2,y,-z+1/2'
'y+1/4,-x+1/4,z+3/4'
'-y+1/4,x+1/4,-z+3/4'
'x,-y,-z'
'-x,y,z'
'-y+1/4,-x+1/4,-z+3/4'
'y+1/4,x+1/4,z+3/4'
'-x+1/2,y,-z+1/2'
'x+1/2,-y,z+1/2'
'y+1/4,x+3/4,-z+1/4'
'-y+1/4,-x+3/4,z+1/4'
'x+1/2,y+1/2,z+1/2'
'-x+1/2,-y+1/2,-z+1/2'
'-y+3/4,x+1/4,z+3/4'
'y+3/4,-x+1/4,-z+3/4'
'-x,-y+1/2,z'
'x,y+1/2,-z'
'y+3/4,-x+3/4,z+1/4'
'-y+3/4,x+3/4,-z+1/4'
'x+1/2,-y+1/2,-z+1/2'
'-x+1/2,y+1/2,z+1/2'
'-y+3/4,-x+3/4,-z+1/4'
'y+3/4,x+3/4,z+1/4'
'-x,y+1/2,-z'
'x,-y+1/2,z'
'y+3/4,x+1/4,-z+3/4'
'-y+3/4,-x+1/4,z+3/4'
loop_
_atom_site_label
_atom_site_type_symbol
_atom_site_fract_x
_atom_site_fract_y
_atom_site_fract_z
Rb1 Rb 0.0000 0.2500 0.3750
Cr1 Cr 0.0000 0.2500 0.8750
Au1 Au 0.0000 0.0000 0.0000
```